No. 1
# Pm2YF8
Calculated powder diffraction line list, Cu Kα (λ = 1.5418 Å). Input: a crystal structure in Alexandria, relaxed with GGA-PBE.
Intensities are scaled so that the largest is 100.

```
Pm2YF8
1.0
7.570 -1.872 0.000
7.570 1.872 0.000
-2.037 0.000 5.328
Pm Y F
2 1 8
direct
0.175 0.175 0.178 Pm
0.825 0.825 0.822 Pm
0.500 0.500 0.500 Y
0.042 0.042 0.288 F
0.223 0.223 0.827 F
0.324 0.324 0.540 F
0.406 0.406 0.064 F
0.594 0.594 0.936 F
0.676 0.676 0.460 F
0.777 0.777 0.173 F
0.958 0.958 0.712 F
```

Main lines, most intense first (10 to 80 degrees two-theta):
| 2θ (°) | intensity |
| --- | --- |
| 28.52 | 100 |
| 24.24 | 90 |
| 30.49 | 77 |
| 24.75 | 76 |
| 48.63 | 60 |
| 44.01 | 53 |
| 44.62 | 51 |
| 48.06 | 36 |
| 31.37 | 32 |
| 38.18 | 30 |

***

No. 2
# Li2PrAuO4
Calculated powder diffraction line list, Cu Kα (λ = 1.5418 Å). Input: a crystal structure in Alexandria, relaxed with GGA-PBE.
Intensities are scaled so that the largest is 100.

```
Li2PrAuO4
1.0
5.539 0.000 0.000
0.000 5.539 0.000
0.000 0.000 6.305
Li Pr Au O
4 2 2 8
direct
0.000 0.500 0.250 Li
0.000 0.500 0.750 Li
0.500 0.000 0.250 Li
0.500 0.000 0.750 Li
0.000 0.000 0.000 Pr
0.500 0.500 0.500 Pr
0.000 0.000 0.500 Au
0.500 0.500 0.000 Au
0.234 0.234 0.295 O
0.234 0.766 0.705 O
0.266 0.266 0.795 O
0.266 0.734 0.205 O
0.734 0.266 0.205 O
0.734 0.734 0.795 O
0.766 0.234 0.705 O
0.766 0.766 0.295 O
```

Main lines, most intense first (10 to 80 degrees two-theta):
| 2θ (°) | intensity |
| --- | --- |
| 22.70 | 100 |
| 36.59 | 68 |
| 43.49 | 49 |
| 60.46 | 32 |
| 32.32 | 31 |
| 46.36 | 23 |
| 52.22 | 21 |
| 28.31 | 20 |
| 55.21 | 14 |
| 63.63 | 12 |